# MnOF
Theoretical X-ray diffraction stick pattern, λ = 1.5418 Å (Cu Kα). Input: DFT lattice parameters and positions (GGA+U).
Peak positions follow from Bragg's law for the DFT cell and can differ from measured ones.

Structural model:
Lattice parameters (Å, degrees): 4.571 7.658 7.701 94.85 90.29 90.18
Space group P1 (No. 1)
Unique sites:
Mn  0.000  0.000  0.000 x1
Mn  0.001  0.601  0.900 x1
Mn  0.038  0.519  0.499 x1
Mn  0.047  0.114  0.393 x1
Mn  0.488  0.867  0.679 x1
Mn  0.492  0.765  0.277 x1
Mn  0.519  0.277  0.770 x1
Mn  0.522  0.375  0.171 x1
O  0.205  0.819  0.861 x1
O  0.227  0.957  0.218 x1
O  0.231  0.462  0.718 x1
O  0.252  0.326  0.352 x1
O  0.276  0.738  0.489 x1
O  0.717  0.047  0.817 x1
O  0.730  0.417  0.949 x1
O  0.734  0.559  0.316 x1
F  0.243  0.583  0.118 x1
F  0.263  0.229  0.997 x1
F  0.274  0.103  0.628 x1
F  0.736  0.778  0.059 x1
F  0.747  0.936  0.459 x1
F  0.759  0.653  0.683 x1
F  0.763  0.144  0.176 x1
F  0.792  0.290  0.539 x1

Most intense lines, 2θ = 5–70°, by intensity:
index, Position (°2θ), d/Å, Rel. int.
1 1 -1, 25.05, 3.555, 100
1 -2 0, 30.48, 2.933, 92
1 2 0, 30.58, 2.924, 43
1 0 -2, 30.34, 2.946, 43
2 -1 3, 54.60, 1.681, 35
1 -3 3, 52.51, 1.743, 26